No. 1
This entry pairs a crystal structure of Ca2EuBeO5 with its calculated powder diffraction line list. Radiation: Cu Kα (λ = 1.5418 Å). Structure: a structure optimized by DFT (GGA-PBE).
Lines closer than 0.1° are merged.

Structure:
```
data_Ca2EuBeO5
_chemical_formula_sum 'Ca8 Eu4 Be4 O20'
_cell_length_a 9.421
_cell_length_b 7.184
_cell_length_c 6.530
_cell_angle_alpha 90.00
_cell_angle_beta 90.00
_cell_angle_gamma 90.00
_space_group_name_H-M_alt 'P n m a'
_space_group_IT_number 62
loop_
_space_group_symop_operation_xyz
'x,y,z'
'-x,-y,-z'
'-x+1/2,-y,z+1/2'
'x+1/2,y,-z+1/2'
'x+1/2,-y+1/2,-z+1/2'
'-x+1/2,y+1/2,z+1/2'
'-x,y+1/2,-z'
'x,-y+1/2,z'
loop_
_atom_site_label
_atom_site_type_symbol
_atom_site_fract_x
_atom_site_fract_y
_atom_site_fract_z
Ca1 Ca 0.174 0.024 0.081
Eu1 Eu 0.023 0.250 0.593
Be1 Be 0.105 0.750 0.811
O1 O 0.011 0.750 0.024
O2 O 0.071 0.559 0.686
O3 O 0.222 0.250 0.365
O4 O 0.223 0.750 0.333
```

Main lines, by angle (2θ from 10° to 90°):
index  two_theta  I (rel.)
1 0 1  16.52  54
0 1 1  18.36  23
2 0 0  18.84  29
2 1 1  26.42  28
1 2 1  29.93  65
2 2 0  31.32  43
3 0 1  31.59  100
4 2 0  46.08  20
2 1 3  47.74  28
1 3 2  48.10  19



No. 2
This entry pairs a crystal structure of Ca4Be4P4O17F3 with its calculated powder diffraction line list. Radiation: Cu Kα (λ = 1.5418 Å). Structure: a structure optimized by DFT (GGA-PBE).
Lines closer than 0.1° are merged.

Structure:
```
data_Ca4Be4P4O17F3
_chemical_formula_sum 'Ca4 Be4 P4 O17 F3'
_cell_length_a 4.839
_cell_length_b 7.763
_cell_length_c 9.807
_cell_angle_alpha 89.95
_cell_angle_beta 89.32
_cell_angle_gamma 89.98
_space_group_name_H-M_alt 'P 1'
_space_group_IT_number 1
loop_
_space_group_symop_operation_xyz
'x,y,z'
loop_
_atom_site_label
_atom_site_type_symbol
_atom_site_fract_x
_atom_site_fract_y
_atom_site_fract_z
Ca1 Ca 0.000 0.000 0.000
Ca2 Ca 0.002 0.274 0.501
Ca3 Ca 0.007 0.776 0.662
Ca4 Ca 0.009 0.500 0.161
Be1 Be 0.461 0.474 0.670
Be2 Be 0.463 0.803 0.170
Be3 Be 0.545 0.303 0.992
Be4 Be 0.545 0.975 0.493
P1 P 0.475 0.118 0.750
P2 P 0.477 0.159 0.249
P3 P 0.530 0.659 0.913
P4 P 0.532 0.620 0.414
O1 O 0.250 0.286 0.290
O2 O 0.250 0.991 0.792
O3 O 0.328 0.734 0.025
O4 O 0.330 0.544 0.524
O5 O 0.338 0.281 0.686
O6 O 0.343 0.996 0.184
O7 O 0.352 0.606 0.789
O8 O 0.358 0.670 0.287
O9 O 0.652 0.106 0.374
O10 O 0.652 0.172 0.874
O11 O 0.666 0.496 0.977
O12 O 0.666 0.783 0.477
O13 O 0.678 0.044 0.638
O14 O 0.680 0.234 0.138
O15 O 0.757 0.786 0.872
O16 O 0.761 0.492 0.374
O17 O 0.793 0.484 0.649
F1 F 0.219 0.298 0.004
F2 F 0.219 0.979 0.504
F3 F 0.789 0.797 0.158
```

Main lines, by angle (2θ from 10° to 90°):
index  two_theta  I (rel.)
0 1 1  14.55  32
1 0 -2  26.03  51
1 1 2  28.21  100
1 1 -2  28.49  84
1 -2 0  29.50  61
1 -2 1  30.85  49
-1 2 1  30.98  43
-1 1 3  35.27  28
1 -2 3  40.46  39
1 2 -3  40.77  32



No. 3
This entry pairs a crystal structure of Ca2Be2P2O9F with its calculated powder diffraction line list. Radiation: Cu Kα (λ = 1.5418 Å). Structure: a structure optimized by DFT (GGA-PBE).
Lines closer than 0.1° are merged.

Structure:
```
data_Ca2Be2P2O9F
_chemical_formula_sum 'Ca4 Be4 P4 O18 F2'
_cell_length_a 4.866
_cell_length_b 7.773
_cell_length_c 9.790
_cell_angle_alpha 90.00
_cell_angle_beta 90.33
_cell_angle_gamma 90.00
_space_group_name_H-M_alt 'P 1 c 1'
_space_group_IT_number 7
loop_
_space_group_symop_operation_xyz
'x,y,z'
'x,-y,z+1/2'
loop_
_atom_site_label
_atom_site_type_symbol
_atom_site_fract_x
_atom_site_fract_y
_atom_site_fract_z
Ca1 Ca 0.000 0.134 0.000
Ca2 Ca 0.006 0.363 0.339
Be1 Be 0.461 0.335 0.831
Be2 Be 0.542 0.164 0.509
P1 P 0.472 0.021 0.252
P2 P 0.531 0.481 0.087
O1 O 0.247 0.148 0.210
O2 O 0.331 0.405 0.976
O3 O 0.335 0.142 0.816
O4 O 0.353 0.469 0.713
O5 O 0.648 0.032 0.626
O6 O 0.665 0.355 0.526
O7 O 0.674 0.096 0.362
O8 O 0.759 0.353 0.127
O9 O 0.790 0.346 0.854
F1 F 0.218 0.161 0.498
```

Main lines, by angle (2θ from 10° to 90°):
index  two_theta  I (rel.)
1 1 1  23.41  38
1 0 2  25.89  54
1 1 -2  28.22  100
1 1 2  28.36  85
1 2 0  29.39  85
1 2 -1  30.83  96
1 3 0  39.37  49
1 2 -3  40.51  42
2 2 -1  44.92  39
1 4 0  50.56  38



No. 4
This entry pairs a crystal structure of CaBePO4F with its calculated powder diffraction line list. Radiation: Cu Kα (λ = 1.5418 Å). Structure: a structure optimized by DFT (GGA-PBE).
Lines closer than 0.1° are merged.

Structure:
```
data_CaBePO4F
_chemical_formula_sum 'Ca4 Be4 P4 O16 F4'
_cell_length_a 4.821
_cell_length_b 7.751
_cell_length_c 9.812
_cell_angle_alpha 90.00
_cell_angle_beta 90.94
_cell_angle_gamma 90.00
_space_group_name_H-M_alt 'P 1 21/c 1'
_space_group_IT_number 14
loop_
_space_group_symop_operation_xyz
'x,y,z'
'-x,-y,-z'
'-x,y+1/2,-z+1/2'
'x,-y+1/2,z+1/2'
loop_
_atom_site_label
_atom_site_type_symbol
_atom_site_fract_x
_atom_site_fract_y
_atom_site_fract_z
Ca1 Ca 0.004 0.111 0.169
Be1 Be 0.458 0.086 0.663
P1 P 0.473 0.730 0.581
O1 O 0.244 0.604 0.540
O2 O 0.323 0.155 0.808
O3 O 0.340 0.607 0.147
O4 O 0.353 0.218 0.544
F1 F 0.215 0.592 0.825
```

Main lines, by angle (2θ from 10° to 90°):
index  two_theta  I (rel.)
0 1 1  14.56  32
1 0 2  26.13  49
1 1 -2  28.20  100
1 1 2  28.59  82
1 2 0  29.57  64
1 2 -1  30.89  47
1 2 1  31.07  43
1 2 -3  40.44  44
1 2 3  40.88  33
2 1 4  55.15  34



No. 5
This entry pairs a crystal structure of CaBe2Ge2 with its calculated powder diffraction line list. Radiation: Cu Kα (λ = 1.5418 Å). Structure: a structure optimized by DFT (GGA-PBE).
Lines closer than 0.1° are merged.

Structure:
```
data_CaBe2Ge2
_chemical_formula_sum 'Ca2 Be4 Ge4'
_cell_length_a 4.030
_cell_length_b 4.030
_cell_length_c 9.887
_cell_angle_alpha 90.00
_cell_angle_beta 90.00
_cell_angle_gamma 90.00
_space_group_name_H-M_alt 'P 4/n m m'
_space_group_IT_number 129
loop_
_space_group_symop_operation_xyz
'x,y,z'
'-x,-y,-z'
'-y+1/2,x,z'
'y+1/2,-x,-z'
'-x+1/2,-y+1/2,z'
'x+1/2,y+1/2,-z'
'y,-x+1/2,z'
'-y,x+1/2,-z'
'x+1/2,-y,-z'
'-x+1/2,y,z'
'-y,-x,-z'
'y,x,z'
'-x,y+1/2,-z'
'x,-y+1/2,z'
'y+1/2,x+1/2,-z'
'-y+1/2,-x+1/2,z'
loop_
_atom_site_label
_atom_site_type_symbol
_atom_site_fract_x
_atom_site_fract_y
_atom_site_fract_z
Ca1 Ca 0.250 0.250 0.246
Be1 Be 0.250 0.250 0.635
Be2 Be 0.250 0.750 0.000
Ge1 Ge 0.250 0.250 0.868
Ge2 Ge 0.250 0.750 0.500
```

Main lines, by angle (2θ from 10° to 90°):
index  two_theta  I (rel.)
0 0 3  27.06  48
1 0 2  28.58  46
1 1 1  32.71  100
1 0 3  35.18  50
1 1 2  36.39  97
2 0 0  44.99  62
1 1 4  48.78  37
1 0 5  51.48  25
2 0 3  53.29  29
2 2 0  65.49  28



No. 6
This entry pairs a crystal structure of Ca2Be3Ge3 with its calculated powder diffraction line list. Radiation: Cu Kα (λ = 1.5418 Å). Structure: a structure optimized by DFT (GGA-PBE).
Lines closer than 0.1° are merged.

Structure:
```
data_Ca2Be3Ge3
_chemical_formula_sum 'Ca2 Be3 Ge3'
_cell_length_a 2.951
_cell_length_b 2.951
_cell_length_c 20.237
_cell_angle_alpha 90.00
_cell_angle_beta 90.00
_cell_angle_gamma 90.00
_space_group_name_H-M_alt 'P 4/m m m'
_space_group_IT_number 123
_space_group_name_Hall '-P 4 2'
loop_
_atom_site_label
_atom_site_type_symbol
_atom_site_fract_x
_atom_site_fract_y
_atom_site_fract_z
Ca1 Ca 0.000 0.000 0.247
Be1 Be 0.000 0.000 0.110
Be2 Be 0.000 0.000 0.500
Ge1 Ge 0.000 0.000 0.000
Ge2 Ge 0.000 0.000 0.391
```

Main lines, by angle (2θ from 10° to 90°):
index  two_theta  I (rel.)
0 0 3  13.12  52
0 0 5  21.96  44
1 0 0  30.28  100
1 0 3  33.13  24
0 0 8  35.49  23
1 0 5  37.72  44
1 1 0  43.36  36
1 0 8  47.33  40
1 1 5  49.12  21
1 1 8  57.23  22